(1)
Simulated XRD peak list of Hf3Tl2Ag2Se8 for Cu Kα (weighted mean of Kα1 and Kα2), from a GGA-PBE-relaxed structure.

The 12 most intense peaks (2θ = 10–80°), sorted by position:
Position (°2θ)  Rel. int.
11.99  51
18.91  32
29.86  44
30.39  100
31.81  44
33.43  85
36.39  42
38.21  33
39.19  34
40.52  33
47.11  41
59.00  34

Crystal structure
a = 14.8725 Å, b = 3.8579 Å, c = 14.6165 Å
α = 90.00°, β = 113.51°, γ = 90.00°
Space group C2/m (No. 12)
Symmetry-distinct sites (fractional):
Hf (0.0000, 0.0000, 0.0000)
Hf (0.1548, 0.0000, 0.3810)
Tl (0.1630, 0.0000, 0.7914)
Ag (0.0250, 0.5000, 0.2002)
Se (0.0247, 0.5000, 0.3768)
Se (0.1163, 0.5000, 0.9743)
Se (0.1463, 0.0000, 0.1917)
Se (0.2079, 0.0000, 0.5822)

---

(2)
Simulated XRD peak list of Ag2Se for Cu Kα (weighted mean of Kα1 and Kα2), from a GGA-PBE-relaxed structure.

The 12 most intense peaks (2θ = 10–80°), sorted by position:
Position (°2θ)  Rel. int.
20.38  23
24.21  49
26.91  50
27.96  19
35.85  100
38.42  30
40.85  40
43.88  95
44.98  54
47.14  19
53.56  20
74.79  29

Crystal structure
a = 4.6856 Å, b = 4.6856 Å, c = 11.8541 Å
α = 90.00°, β = 90.00°, γ = 90.00°
Space group P4_32_12 (No. 96)
Symmetry-distinct sites (fractional):
Ag (0.0529, 0.3998, 0.0819)
Se (0.0975, 0.0975, 0.5000)